1.
Diffraction record for Rb2LaPrO4. The powder diffractogram is computed, not measured: it uses DFT lattice parameters and positions (GGA-PBE) and copper Kα.
Peak positions follow from Bragg's law for the DFT cell and can differ from measured ones.

Principal peaks in the range 10° ≤ 2θ ≤ 90°, by intensity:
2θ (°)  I/Imax
31.3  1000
51.0  312
27.5  307
49.6  287
35.0  257
57.6  240

abc: 3.678 3.678 12.987
angles: 90.00 90.00 120.00
Fractional coordinates of all 8 atoms:
Rb: 0.333 0.667 0.251
Rb: 0.667 0.333 0.749
La: 0.000 0.000 0.000
Pr: 0.000 0.000 0.500
O: 0.333 0.667 0.593
O: 0.333 0.667 0.907
O: 0.667 0.333 0.093
O: 0.667 0.333 0.407

---

2.
Diffraction record for La3PrSe3O4. The powder diffractogram is computed, not measured: it uses DFT lattice parameters and positions (GGA-PBE) and copper Kα.
Peak positions follow from Bragg's law for the DFT cell and can differ from measured ones.

Principal peaks in the range 10° ≤ 2θ ≤ 90°, by intensity:
2θ (°)  I/Imax
29.9  1000
31.2  529
25.0  527
34.5  375
46.4  225
44.4  205

abc: 8.488 6.875 6.875
angles: 34.52 90.00 90.00
Fractional coordinates of all 11 atoms:
La: 0.000 0.000 0.000
La: 0.239 0.685 0.685
La: 0.761 0.685 0.685
Pr: 0.500 0.016 0.016
Se: 0.000 0.313 0.313
Se: 0.350 0.359 0.359
Se: 0.650 0.359 0.359
O: 0.000 0.588 0.588
O: 0.245 0.090 0.090
O: 0.500 0.615 0.615
O: 0.755 0.090 0.090

---

3.
Diffraction record for LaPrSm2Se3O4. The powder diffractogram is computed, not measured: it uses DFT lattice parameters and positions (GGA-PBE) and copper Kα.
Peak positions follow from Bragg's law for the DFT cell and can differ from measured ones.

Principal peaks in the range 10° ≤ 2θ ≤ 90°, by intensity:
2θ (°)  I/Imax
30.4  1000
31.6  554
25.2  541
34.9  388
47.0  227
45.2  201

abc: 8.410 6.789 6.789
angles: 34.35 90.00 90.00
Fractional coordinates of all 11 atoms:
La: 0.000 0.000 0.000
Pr: 0.500 0.017 0.017
Sm: 0.238 0.684 0.684
Sm: 0.762 0.684 0.684
Se: 0.000 0.310 0.310
Se: 0.348 0.355 0.355
Se: 0.652 0.355 0.355
O: 0.000 0.591 0.591
O: 0.245 0.092 0.092
O: 0.500 0.619 0.619
O: 0.755 0.092 0.092

---

4.
Diffraction record for LaPrSm2Se3O4. The powder diffractogram is computed, not measured: it uses DFT lattice parameters and positions (GGA-PBE) and copper Kα.
Peak positions follow from Bragg's law for the DFT cell and can differ from measured ones.

Principal peaks in the range 10° ≤ 2θ ≤ 90°, by intensity:
2θ (°)  I/Imax
30.4  1000
31.5  545
25.2  543
35.0  284
47.0  230
45.2  200

abc: 8.426 6.776 6.776
angles: 34.46 90.00 90.00
Fractional coordinates of all 11 atoms:
La: 0.000 0.000 0.000
Pr: 0.500 0.983 0.983
Sm: 0.263 0.667 0.667
Sm: 0.737 0.667 0.667
Se: 0.151 0.336 0.336
Se: 0.500 0.295 0.295
Se: 0.849 0.336 0.336
O: 0.000 0.602 0.602
O: 0.257 0.074 0.074
O: 0.500 0.574 0.574
O: 0.743 0.074 0.074

---

5.
Diffraction record for LaPr2SmSe3O4. The powder diffractogram is computed, not measured: it uses DFT lattice parameters and positions (GGA-PBE) and copper Kα.
Peak positions follow from Bragg's law for the DFT cell and can differ from measured ones.

Principal peaks in the range 10° ≤ 2θ ≤ 90°, by intensity:
2θ (°)  I/Imax
30.3  1000
25.1  542
31.3  529
34.8  272
44.9  269
46.8  233

abc: 8.498 6.788 6.788
angles: 34.62 90.00 90.00
Fractional coordinates of all 11 atoms:
La: 0.000 0.000 0.000
Pr: 0.265 0.669 0.669
Pr: 0.735 0.669 0.669
Sm: 0.500 0.987 0.987
Se: 0.149 0.338 0.338
Se: 0.500 0.301 0.301
Se: 0.851 0.338 0.338
O: 0.000 0.600 0.600
O: 0.260 0.071 0.071
O: 0.500 0.570 0.570
O: 0.740 0.071 0.071

---

6.
Diffraction record for La3PrTe3O4. The powder diffractogram is computed, not measured: it uses DFT lattice parameters and positions (GGA-PBE) and copper Kα.
Peak positions follow from Bragg's law for the DFT cell and can differ from measured ones.

Principal peaks in the range 10° ≤ 2θ ≤ 90°, by intensity:
2θ (°)  I/Imax
29.1  1000
30.1  553
33.1  376
23.9  299
56.1  228
43.5  211

abc: 8.914 7.119 7.119
angles: 34.02 90.00 90.00
Fractional coordinates of all 11 atoms:
La: 0.000 0.000 0.000
La: 0.240 0.669 0.669
La: 0.760 0.669 0.669
Pr: 0.500 0.018 0.018
Te: 0.000 0.299 0.299
Te: 0.338 0.358 0.358
Te: 0.662 0.358 0.358
O: 0.000 0.578 0.578
O: 0.245 0.084 0.084
O: 0.500 0.609 0.609
O: 0.755 0.084 0.084

---

7.
Diffraction record for La3Re2O9. The powder diffractogram is computed, not measured: it uses DFT lattice parameters and positions (GGA-PBE) and copper Kα.
Peak positions follow from Bragg's law for the DFT cell and can differ from measured ones.

Principal peaks in the range 10° ≤ 2θ ≤ 90°, by intensity:
2θ (°)  I/Imax
26.5  1000
28.0  574
31.7  482
26.1  369
30.7  295
17.8  217

abc: 5.659 6.842 11.112
angles: 77.14 75.59 69.02
Fractional coordinates of all 28 atoms:
La: 0.003 0.225 0.268
La: 0.224 0.162 0.883
La: 0.282 0.595 0.380
La: 0.718 0.405 0.620
La: 0.776 0.838 0.117
La: 0.997 0.775 0.732
Re: 0.356 0.122 0.571
Re: 0.491 0.611 0.909
Re: 0.509 0.389 0.091
Re: 0.644 0.878 0.429
O: 0.063 0.113 0.712
O: 0.112 0.252 0.460
O: 0.144 0.812 0.936
O: 0.175 0.514 0.189
O: 0.302 0.418 0.591
O: 0.360 0.477 0.816
O: 0.375 0.817 0.578
O: 0.385 0.171 0.071
O: 0.413 0.943 0.312
O: 0.587 0.057 0.688
O: 0.615 0.829 0.929
O: 0.625 0.183 0.422
O: 0.640 0.523 0.184
O: 0.698 0.582 0.409
O: 0.825 0.486 0.811
O: 0.856 0.188 0.064
O: 0.888 0.748 0.540
O: 0.937 0.887 0.288

---

8.
Diffraction record for LaSmSO2. The powder diffractogram is computed, not measured: it uses DFT lattice parameters and positions (GGA-PBE) and copper Kα.
Peak positions follow from Bragg's law for the DFT cell and can differ from measured ones.

Principal peaks in the range 10° ≤ 2θ ≤ 90°, by intensity:
2θ (°)  I/Imax
29.1  1000
45.7  323
37.2  304
48.0  251
26.2  219
25.9  198

abc: 3.970 3.970 6.811
angles: 90.00 90.00 120.00
Fractional coordinates of all 5 atoms:
La: 0.000 0.000 0.000
Sm: 0.333 0.667 0.560
S: 0.667 0.333 0.285
O: 0.000 0.000 0.644
O: 0.333 0.667 0.902

---

9.
Diffraction record for La3Zn3Si2SbO14. The powder diffractogram is computed, not measured: it uses DFT lattice parameters and positions (GGA-PBE) and copper Kα.
Peak positions follow from Bragg's law for the DFT cell and can differ from measured ones.

Principal peaks in the range 10° ≤ 2θ ≤ 90°, by intensity:
2θ (°)  I/Imax
30.4  1000
27.7  707
48.8  287
49.3  241
33.2  238
24.9  235

abc: 8.243 8.243 5.163
angles: 90.02 90.02 60.01
Fractional coordinates of all 23 atoms:
La: 0.000 0.000 0.000
La: 0.427 0.147 0.999
La: 0.853 0.573 0.001
Zn: 0.185 0.575 0.498
Zn: 0.425 0.815 0.502
Zn: 0.669 0.331 0.500
Si: 0.093 0.241 0.557
Si: 0.759 0.907 0.443
Sb: 0.426 0.574 0.000
O: 0.093 0.239 0.241
O: 0.105 0.416 0.692
O: 0.199 0.719 0.778
O: 0.266 0.055 0.695
O: 0.281 0.801 0.222
O: 0.338 0.431 0.214
O: 0.512 0.345 0.780
O: 0.569 0.662 0.786
O: 0.584 0.895 0.308
O: 0.655 0.488 0.220
O: 0.745 0.094 0.305
O: 0.761 0.907 0.759
O: 0.906 0.255 0.695
O: 0.945 0.734 0.305

---

10.
Diffraction record for La3SmSe3O4. The powder diffractogram is computed, not measured: it uses DFT lattice parameters and positions (GGA-PBE) and copper Kα.
Peak positions follow from Bragg's law for the DFT cell and can differ from measured ones.

Principal peaks in the range 10° ≤ 2θ ≤ 90°, by intensity:
2θ (°)  I/Imax
30.1  1000
25.0  538
31.2  519
34.7  266
46.6  232
44.6  201

abc: 8.514 6.808 6.808
angles: 34.74 90.00 90.00
Fractional coordinates of all 11 atoms:
La: 0.000 0.000 0.000
La: 0.264 0.670 0.670
La: 0.736 0.670 0.670
Sm: 0.500 0.988 0.988
Se: 0.149 0.342 0.342
Se: 0.500 0.304 0.304
Se: 0.851 0.342 0.342
O: 0.000 0.601 0.601
O: 0.260 0.072 0.072
O: 0.500 0.571 0.571
O: 0.740 0.072 0.072

---

11.
Diffraction record for La3SmSe3O4. The powder diffractogram is computed, not measured: it uses DFT lattice parameters and positions (GGA-PBE) and copper Kα.
Peak positions follow from Bragg's law for the DFT cell and can differ from measured ones.

Principal peaks in the range 10° ≤ 2θ ≤ 90°, by intensity:
2θ (°)  I/Imax
30.1  1000
31.3  547
25.0  536
34.6  386
46.6  222
44.8  206

abc: 8.478 6.840 6.840
angles: 34.44 90.00 90.00
Fractional coordinates of all 11 atoms:
La: 0.000 0.000 0.000
La: 0.240 0.687 0.687
La: 0.760 0.687 0.687
Sm: 0.500 0.020 0.020
Se: 0.000 0.313 0.313
Se: 0.351 0.363 0.363
Se: 0.649 0.363 0.363
O: 0.000 0.589 0.589
O: 0.248 0.090 0.090
O: 0.500 0.614 0.614
O: 0.752 0.090 0.090

---

12.
Diffraction record for LaSm2O4. The powder diffractogram is computed, not measured: it uses DFT lattice parameters and positions (GGA-PBE) and copper Kα.
Peak positions follow from Bragg's law for the DFT cell and can differ from measured ones.

Principal peaks in the range 10° ≤ 2θ ≤ 90°, by intensity:
2θ (°)  I/Imax
29.8  1000
52.1  424
47.5  396
31.2  269
25.3  243
73.1  223

abc: 7.028 7.028 7.028
angles: 60.00 60.00 60.00
Fractional coordinates of all 14 atoms:
La: 0.125 0.125 0.125
La: 0.875 0.875 0.875
Sm: 0.000 0.500 0.500
Sm: 0.500 0.000 0.500
Sm: 0.500 0.500 0.000
Sm: 0.500 0.500 0.500
O: 0.261 0.261 0.261
O: 0.261 0.261 0.716
O: 0.261 0.716 0.261
O: 0.284 0.739 0.739
O: 0.716 0.261 0.261
O: 0.739 0.284 0.739
O: 0.739 0.739 0.284
O: 0.739 0.739 0.739

---

13.
Diffraction record for Sr2LaTa3O11. The powder diffractogram is computed, not measured: it uses DFT lattice parameters and positions (GGA-PBE) and copper Kα.
Peak positions follow from Bragg's law for the DFT cell and can differ from measured ones.

Principal peaks in the range 10° ≤ 2θ ≤ 90°, by intensity:
2θ (°)  I/Imax
28.7  1000
32.3  875
31.5  462
26.2  400
25.2  383
56.6  375

abc: 11.164 11.164 11.164
angles: 159.53 150.52 36.16
Fractional coordinates of all 17 atoms:
Sr: 0.201 0.201 0.000
Sr: 0.799 0.799 0.000
La: 0.500 0.000 0.500
Ta: 0.000 0.500 0.500
Ta: 0.362 0.362 0.000
Ta: 0.638 0.638 0.000
O: 0.000 0.000 0.000
O: 0.061 0.303 0.758
O: 0.203 0.439 0.763
O: 0.324 0.561 0.763
O: 0.378 0.878 0.500
O: 0.456 0.697 0.758
O: 0.544 0.303 0.242
O: 0.622 0.122 0.500
O: 0.676 0.439 0.237
O: 0.797 0.561 0.237
O: 0.939 0.697 0.242